Diffraction record for TbSm2S4. The powder XRD pattern is computed, not measured: it uses a crystal structure in Alexandria, relaxed with GGA-PBE and copper Kα.
Intensities are scaled so that the largest is 100.

Cell lengths 3.858, 13.261, 13.321 Å; angles 90.00, 90.00, 90.00 degrees
Space group Cmcm (No. 63)
Unique sites:
Tb  0.000  0.127  0.250 (multiplicity 4)
Sm  0.000  0.371  0.071 (multiplicity 8)
S  0.000  0.000  0.000 (multiplicity 4)
S  0.000  0.278  0.624 (multiplicity 8)
S  0.000  0.478  0.250 (multiplicity 4)

Peak list (10 most intense, 10° ≤ 2θ ≤ 90°, in order of rising 2θ)
| index | Position (°2θ) | I_rel |
| --- | --- | --- |
| 0 2 3 | 24.12 | 100 |
| 1 1 1 | 24.95 | 26 |
| 0 4 0 | 26.89 | 23 |
| 1 1 2 | 27.55 | 22 |
| 1 3 1 | 31.50 | 33 |
| 1 3 2 | 33.64 | 47 |
| 1 1 5 | 41.76 | 28 |
| 1 5 2 | 43.58 | 16 |
| 0 6 3 | 45.86 | 24 |
| 2 2 3 | 53.61 | 22 |


Diffraction record for Y2ErIn9. The powder XRD pattern is computed, not measured: it uses a crystal structure in Alexandria, relaxed with GGA-PBE and copper Kα.
Intensities are scaled so that the largest is 100.

Cell lengths 4.638, 4.638, 13.903 Å; angles 90.00, 90.00, 90.00 degrees
Space group P4/mmm (No. 123)
Unique sites:
Y  0.000  0.000  0.167 (multiplicity 2)
Er  0.000  0.000  0.500 (multiplicity 1)
In  0.000  0.500  0.000 (multiplicity 2)
In  0.000  0.500  0.335 (multiplicity 4)
In  0.500  0.500  0.167 (multiplicity 2)
In  0.500  0.500  0.500 (multiplicity 1)

Peak list (10 most intense, 10° ≤ 2θ ≤ 90°, in order of rising 2θ)
| index | Position (°2θ) | I_rel |
| --- | --- | --- |
| 0 0 2 | 12.73 | 1 |
| 1 0 1 | 20.18 | 1 |
| 1 0 2 | 23.05 | 1 |
| 1 1 3 | 33.47 | 100 |
| 1 1 4 | 37.72 | 1 |
| 2 0 0 | 38.84 | 50 |
| 2 2 0 | 56.10 | 33 |
| 3 1 3 | 66.93 | 38 |
| 2 2 6 | 70.33 | 11 |
| 4 0 0 | 83.37 | 5 |


Diffraction record for Tc3B2W2. The powder XRD pattern is computed, not measured: it uses a crystal structure in Alexandria, relaxed with GGA-PBE and copper Kα.
Intensities are scaled so that the largest is 100.

Cell lengths 9.225, 2.995, 6.805 Å; angles 90.00, 112.34, 90.00 degrees
Space group C2/m (No. 12)
Unique sites:
Tc  0.000  0.000  0.000 (multiplicity 2)
Tc  0.119  0.000  0.438 (multiplicity 4)
B  0.160  0.500  0.219 (multiplicity 4)
W  0.158  0.500  0.803 (multiplicity 4)

Peak list (10 most intense, 10° ≤ 2θ ≤ 90°, in order of rising 2θ)
| index | Position (°2θ) | I_rel |
| --- | --- | --- |
| 2 0 -1 | 20.22 | 24 |
| 2 0 1 | 29.42 | 21 |
| 1 1 -1 | 33.08 | 23 |
| 1 1 1 | 36.46 | 64 |
| 4 0 -1 | 39.10 | 30 |
| 2 0 -3 | 40.08 | 100 |
| 2 0 2 | 41.64 | 39 |
| 3 1 -1 | 42.18 | 46 |
| 3 1 0 | 43.90 | 25 |
| 3 1 -2 | 45.46 | 24 |


Diffraction record for MgCdOs. The powder XRD pattern is computed, not measured: it uses a crystal structure in Alexandria, relaxed with GGA-PBE and copper Kα.
Intensities are scaled so that the largest is 100.

Cell lengths 2.752, 4.335, 8.653 Å; angles 90.00, 90.00, 90.00 degrees
Space group Imm2 (No. 44)
Unique sites:
Mg  0.000  0.000  0.000 (multiplicity 2)
Cd  0.000  0.000  0.677 (multiplicity 2)
Os  0.000  0.000  0.344 (multiplicity 2)

Peak list (10 most intense, 10° ≤ 2θ ≤ 90°, in order of rising 2θ)
| index | Position (°2θ) | I_rel |
| --- | --- | --- |
| 0 0 2 | 20.53 | 41 |
| 0 1 1 | 22.94 | 63 |
| 1 0 1 | 34.19 | 23 |
| 0 1 3 | 37.45 | 100 |
| 1 1 0 | 38.75 | 91 |
| 0 2 0 | 41.68 | 44 |
| 1 1 2 | 44.25 | 23 |
| 1 0 3 | 45.56 | 57 |
| 1 2 3 | 63.44 | 46 |
| 1 1 6 | 77.97 | 23 |


Number 3 is which compound?
Tc3B2W2